1.
Theoretical X-ray diffraction stick pattern of NbTe for copper Kα, from a crystal structure in the Materials Project, relaxed with GGA-PBE.

Structure:
Unit cell a=3.7030 b=3.7030 c=3.6942 alpha=90.00 beta=90.00 gamma=120.00
Fractional coordinates of all 2 atoms:
Nb (0.0000, 0.0000, 0.0000)
Te (0.6667, 0.3333, 0.5000)

Peak list (8 most intense, 15 to 90 degrees two-theta, by angle)
- (1 0 0), 3.207 Å, I 37.8
- (1 0 1), 2.422 Å, I 100.0
- (1 1 0), 1.851 Å, I 29.3
- (0 0 2), 1.847 Å, I 9.7
- (1 0 2), 1.601 Å, I 9.6
- (2 0 1), 1.471 Å, I 20.5
- (1 1 2), 1.308 Å, I 18.2
- (2 1 1), 1.152 Å, I 18.4

2.
Theoretical X-ray diffraction stick pattern of Nb3Te for copper Kα, from a crystal structure in the Materials Project, relaxed with GGA-PBE.

Structure:
Unit cell a=5.3029 b=5.3029 c=5.3029 alpha=90.00 beta=90.00 gamma=90.00
Fractional coordinates of all 8 atoms:
Nb (0.0000, 0.2500, 0.5000)
Nb (0.0000, 0.7500, 0.5000)
Nb (0.2500, 0.5000, 0.0000)
Nb (0.5000, 0.0000, 0.2500)
Nb (0.5000, 0.0000, 0.7500)
Nb (0.7500, 0.5000, 0.0000)
Te (0.0000, 0.0000, 0.0000)
Te (0.5000, 0.5000, 0.5000)

Peak list (8 most intense, 15 to 90 degrees two-theta, by angle)
- (2 0 0), 2.651 Å, I 45.1
- (2 1 0), 2.372 Å, I 99.5
- (2 1 1), 2.165 Å, I 100.0
- (3 2 0), 1.471 Å, I 21.4
- (3 2 1), 1.417 Å, I 50.3
- (4 0 0), 1.326 Å, I 17.4
- (4 2 0), 1.186 Å, I 13.9
- (4 2 1), 1.157 Å, I 19.2

Which formula does entry 1 have? NbTe